Computed powder diffraction line list
Compound: RbAgBr3
Radiation: Cu Kα X-rays
Structure: the PBE geometry in the Materials Project
No peak broadening, texture or thermal motion is included.

Most intense lines, 10 to 80 degrees two-theta, in order of falling intensity:
| Position (°2θ) | Rel. int. |
| --- | --- |
| 32.9 | 100 |
| 28.4 | 48 |
| 47.2 | 47 |
| 23.1 | 34 |
| 16.3 | 34 |
| 47.3 | 23 |
| 36.9 | 18 |
| 78.6 | 15 |
| 56.0 | 14 |
| 58.7 | 12 |
| 58.8 | 12 |
| 40.6 | 12 |

Structural model:
```
data_RbAgBr3
_symmetry_space_group_name_H-M 'P 1'
_symmetry_Int_Tables_number 1
_symmetry_space_group_name_Hall 'P 1'
_cell_length_a 5.445
_cell_length_b 5.447
_cell_length_c 5.448
_cell_angle_alpha 90.16
_cell_angle_beta 90.00
_cell_angle_gamma 90.09
loop_
_atom_site_label
_atom_site_type_symbol
_atom_site_fract_x
_atom_site_fract_y
_atom_site_fract_z
_atom_site_occupancy
Rb1 Rb 0.000 0.000 0.000 1
Ag1 Ag 0.501 0.513 0.507 1
Br1 Br 0.001 0.511 0.508 1
Br2 Br 0.495 0.013 0.495 1
Br3 Br 0.502 0.508 0.006 1
```

=====

Computed powder diffraction line list
Compound: Ti3Cu
Radiation: Cu Kα X-rays
Structure: the PBE geometry in the Materials Project
No peak broadening, texture or thermal motion is included.

Most intense lines, 10 to 80 degrees two-theta, in order of falling intensity:
| Position (°2θ) | Rel. int. |
| --- | --- |
| 39.3 | 100 |
| 45.7 | 47 |
| 66.7 | 27 |
| 22.4 | 3 |
| 31.9 | 3 |
| 51.5 | 2 |
| 56.8 | 1 |
| 71.3 | 1 |

Structural model:
```
data_Ti3Cu
_symmetry_space_group_name_H-M 'P 1'
_symmetry_Int_Tables_number 1
_symmetry_space_group_name_Hall 'P 1'
_cell_length_a 3.968
_cell_length_b 3.968
_cell_length_c 3.968
_cell_angle_alpha 90.00
_cell_angle_beta 90.00
_cell_angle_gamma 90.00
loop_
_atom_site_label
_atom_site_type_symbol
_atom_site_fract_x
_atom_site_fract_y
_atom_site_fract_z
_atom_site_occupancy
Ti1 Ti 0.000 0.000 0.500 1
Ti2 Ti 0.000 0.500 0.000 1
Ti3 Ti 0.500 0.000 0.000 1
Cu1 Cu 0.500 0.500 0.500 1
```

=====

Computed powder diffraction line list
Compound: SmGa3Ni
Radiation: Cu Kα X-rays
Structure: the PBE geometry in the Materials Project
No peak broadening, texture or thermal motion is included.

Most intense lines, 10 to 80 degrees two-theta, in order of falling intensity:
| Position (°2θ) | Rel. int. |
| --- | --- |
| 34.7 | 100 |
| 42.6 | 53 |
| 33.8 | 49 |
| 55.4 | 23 |
| 49.6 | 22 |
| 72.9 | 22 |
| 67.4 | 17 |
| 61.8 | 17 |
| 29.8 | 15 |
| 62.8 | 12 |
| 56.4 | 11 |
| 35.2 | 11 |

Structural model:
```
data_SmGa3Ni
_symmetry_space_group_name_H-M 'P 1'
_symmetry_Int_Tables_number 1
_symmetry_space_group_name_Hall 'P 1'
_cell_length_a 5.919
_cell_length_b 5.917
_cell_length_c 4.244
_cell_angle_alpha 69.02
_cell_angle_beta 68.96
_cell_angle_gamma 42.02
loop_
_atom_site_label
_atom_site_type_symbol
_atom_site_fract_x
_atom_site_fract_y
_atom_site_fract_z
_atom_site_occupancy
Sm1 Sm 0.000 0.000 0.000 1
Ga1 Ga 0.249 0.249 0.251 1
Ga2 Ga 0.414 0.414 0.586 1
Ga3 Ga 0.749 0.749 0.751 1
Ni1 Ni 0.641 0.641 0.359 1
```

=====

Computed powder diffraction line list
Compound: V4ZnS8
Radiation: Cu Kα X-rays
Structure: the PBE geometry in the Materials Project
No peak broadening, texture or thermal motion is included.

Most intense lines, 10 to 80 degrees two-theta, in order of falling intensity:
| Position (°2θ) | Rel. int. |
| --- | --- |
| 37.3 | 100 |
| 13.7 | 46 |
| 49.8 | 38 |
| 57.4 | 26 |
| 16.6 | 16 |
| 70.5 | 13 |
| 18.4 | 11 |
| 79.5 | 9 |
| 46.2 | 8 |
| 56.8 | 8 |
| 32.6 | 7 |
| 31.1 | 6 |

Structural model:
```
data_V4ZnS8
_symmetry_space_group_name_H-M 'P 1'
_symmetry_Int_Tables_number 1
_symmetry_space_group_name_Hall 'P 1'
_cell_length_a 7.468
_cell_length_b 7.468
_cell_length_c 7.468
_cell_angle_alpha 50.88
_cell_angle_beta 50.88
_cell_angle_gamma 50.88
loop_
_atom_site_label
_atom_site_type_symbol
_atom_site_fract_x
_atom_site_fract_y
_atom_site_fract_z
_atom_site_occupancy
V1 V 0.000 0.000 0.000 1
V2 V 0.000 0.500 0.500 1
V3 V 0.500 0.000 0.500 1
V4 V 0.500 0.500 0.000 1
Zn1 Zn 0.500 0.500 0.500 1
S1 S 0.245 0.245 0.739 1
S2 S 0.245 0.739 0.245 1
S3 S 0.258 0.258 0.258 1
S4 S 0.261 0.755 0.755 1
S5 S 0.739 0.245 0.245 1
S6 S 0.742 0.742 0.742 1
S7 S 0.755 0.261 0.755 1
S8 S 0.755 0.755 0.261 1
```

=====

Computed powder diffraction line list
Compound: Li3OsN2
Radiation: Cu Kα X-rays
Structure: the PBE geometry in the Materials Project
No peak broadening, texture or thermal motion is included.

Most intense lines, 10 to 80 degrees two-theta, in order of falling intensity:
| Position (°2θ) | Rel. int. |
| --- | --- |
| 20.0 | 100 |
| 23.4 | 77 |
| 17.4 | 63 |
| 25.7 | 51 |
| 27.2 | 39 |
| 35.6 | 36 |
| 36.2 | 27 |
| 26.1 | 20 |
| 43.4 | 19 |
| 39.8 | 18 |
| 28.4 | 15 |
| 42.2 | 14 |

Structural model:
```
data_Li3OsN2
_symmetry_space_group_name_H-M 'P 1'
_symmetry_Int_Tables_number 1
_symmetry_space_group_name_Hall 'P 1'
_cell_length_a 6.707
_cell_length_b 8.045
_cell_length_c 8.623
_cell_angle_alpha 90.00
_cell_angle_beta 127.65
_cell_angle_gamma 90.00
loop_
_atom_site_label
_atom_site_type_symbol
_atom_site_fract_x
_atom_site_fract_y
_atom_site_fract_z
_atom_site_occupancy
Li1 Li 0.088 0.105 0.347 1
Li2 Li 0.088 0.395 0.847 1
Li3 Li 0.208 0.041 0.020 1
Li4 Li 0.208 0.459 0.520 1
Li5 Li 0.326 0.684 0.132 1
Li6 Li 0.326 0.816 0.632 1
Li7 Li 0.674 0.184 0.368 1
Li8 Li 0.674 0.316 0.868 1
Li9 Li 0.792 0.541 0.480 1
Li10 Li 0.792 0.959 0.980 1
Li11 Li 0.912 0.605 0.153 1
Li12 Li 0.912 0.895 0.653 1
Os1 Os 0.209 0.165 0.702 1
Os2 Os 0.209 0.335 0.202 1
Os3 Os 0.791 0.665 0.798 1
Os4 Os 0.791 0.835 0.298 1
N1 N 0.016 0.676 0.434 1
N2 N 0.016 0.824 0.934 1
N3 N 0.434 0.028 0.912 1
N4 N 0.434 0.472 0.412 1
N5 N 0.566 0.528 0.588 1
N6 N 0.566 0.972 0.088 1
N7 N 0.984 0.176 0.066 1
N8 N 0.984 0.324 0.566 1
```

=====

Computed powder diffraction line list
Compound: GaSb3
Radiation: Cu Kα X-rays
Structure: the PBE geometry in the Materials Project
No peak broadening, texture or thermal motion is included.

Most intense lines, 10 to 80 degrees two-theta, in order of falling intensity:
| Position (°2θ) | Rel. int. |
| --- | --- |
| 34.0 | 100 |
| 60.8 | 36 |
| 48.8 | 18 |
| 71.5 | 11 |
| 20.6 | 3 |
| 40.1 | 1 |
| 23.9 | 1 |
| 53.5 | 1 |
| 55.0 | 1 |

Structural model:
```
data_GaSb3
_symmetry_space_group_name_H-M 'P 1'
_symmetry_Int_Tables_number 1
_symmetry_space_group_name_Hall 'P 1'
_cell_length_a 7.461
_cell_length_b 7.461
_cell_length_c 7.461
_cell_angle_alpha 90.00
_cell_angle_beta 90.00
_cell_angle_gamma 90.00
loop_
_atom_site_label
_atom_site_type_symbol
_atom_site_fract_x
_atom_site_fract_y
_atom_site_fract_z
_atom_site_occupancy
Ga1 Ga 0.000 0.000 0.000 1
Ga2 Ga 0.000 0.500 0.500 1
Ga3 Ga 0.500 0.000 0.500 1
Ga4 Ga 0.500 0.500 0.000 1
Sb1 Sb 0.000 0.000 0.500 1
Sb2 Sb 0.000 0.500 0.000 1
Sb3 Sb 0.250 0.250 0.250 1
Sb4 Sb 0.250 0.250 0.750 1
Sb5 Sb 0.250 0.750 0.250 1
Sb6 Sb 0.250 0.750 0.750 1
Sb7 Sb 0.500 0.000 0.000 1
Sb8 Sb 0.500 0.500 0.500 1
Sb9 Sb 0.750 0.250 0.250 1
Sb10 Sb 0.750 0.250 0.750 1
Sb11 Sb 0.750 0.750 0.250 1
Sb12 Sb 0.750 0.750 0.750 1
```

=====

Computed powder diffraction line list
Compound: MnVTe2
Radiation: Cu Kα X-rays
Structure: the PBE geometry in the Materials Project
No peak broadening, texture or thermal motion is included.

Most intense lines, 10 to 80 degrees two-theta, in order of falling intensity:
| Position (°2θ) | Rel. int. |
| --- | --- |
| 30.3 | 100 |
| 43.1 | 51 |
| 43.7 | 42 |
| 53.6 | 20 |
| 71.0 | 17 |
| 60.8 | 13 |
| 63.0 | 13 |
| 79.4 | 13 |
| 78.9 | 8 |
| 57.1 | 7 |
| 77.4 | 7 |
| 35.7 | 5 |

Structural model:
```
data_MnVTe2
_symmetry_space_group_name_H-M 'P 1'
_symmetry_Int_Tables_number 1
_symmetry_space_group_name_Hall 'P 1'
_cell_length_a 4.202
_cell_length_b 4.202
_cell_length_c 5.033
_cell_angle_alpha 90.00
_cell_angle_beta 90.00
_cell_angle_gamma 120.00
loop_
_atom_site_label
_atom_site_type_symbol
_atom_site_fract_x
_atom_site_fract_y
_atom_site_fract_z
_atom_site_occupancy
Mn1 Mn 0.000 0.000 0.000 1
V1 V 0.000 0.000 0.500 1
Te1 Te 0.333 0.667 0.761 1
Te2 Te 0.667 0.333 0.239 1
```